Record 1
This entry pairs a crystal structure of Rb3Pd2I7 with its theoretical powder diffraction line list. Radiation: Cu Kα. Structure: a cell relaxed with GGA-PBE.

Structure:
a b c (Å): 5.681 5.681 29.329
angles (deg): 90.00 90.00 90.00
Space group I4/mmm (No. 139)
Symmetry-distinct sites (fractional):
Rb (0.000, 0.000, 0.000) [2 per cell]
Rb (0.000, 0.000, 0.180) [4 per cell]
Pd (0.000, 0.000, 0.404) [4 per cell]
I (0.000, 0.000, 0.308) [4 per cell]
I (0.000, 0.000, 0.500) [2 per cell]
I (0.000, 0.500, 0.094) [8 per cell]

Most intense lines, 5° ≤ 2θ ≤ 70°, in order of rising 2θ:
index  Position (°2θ)  I_rel
0 0 2  6.0  38
0 0 4  12.1  27
1 0 1  15.9  32
1 1 0  22.1  17
1 1 4  25.3  31
1 1 6  28.8  84
0 0 10  30.5  40
2 0 0  31.5  100
2 0 10  44.4  56
2 2 0  45.1  36
3 1 6  54.4  31
2 2 10  55.4  29

---

Record 2
This entry pairs a crystal structure of K3CdTe3 with its theoretical powder diffraction line list. Radiation: Cu Kα. Structure: a cell relaxed with GGA-PBE.

Structure:
a b c (Å): 13.747 4.840 17.005
angles (deg): 90.00 107.10 90.00
Space group C2/m (No. 12)
Symmetry-distinct sites (fractional):
K (0.036, 0.000, 0.222) [4 per cell]
K (0.098, 0.500, 0.616) [4 per cell]
K (0.189, 0.000, 0.082) [4 per cell]
Cd (0.213, 0.500, 0.400) [4 per cell]
Te (0.054, 0.500, 0.941) [4 per cell]
Te (0.116, 0.000, 0.442) [4 per cell]
Te (0.240, 0.000, 0.749) [4 per cell]

Most intense lines, 5° ≤ 2θ ≤ 70°, in order of rising 2θ:
index  Position (°2θ)  I_rel
0 0 1  5.4  65
2 0 -1  13.0  45
2 0 2  19.7  100
1 1 2  23.4  22
1 1 3  26.8  85
4 0 -3  27.3  47
3 1 1  29.2  77
0 0 6  33.1  33
3 1 -5  34.5  62
0 2 0  37.2  48
2 0 6  39.6  28
1 1 -7  41.9  27

---

Record 3
This entry pairs a crystal structure of LiAc2LaTl4 with its theoretical powder diffraction line list. Radiation: Cu Kα. Structure: a cell relaxed with GGA-PBE.

Structure:
a b c (Å): 5.5591 5.5591 28.7502
angles (deg): 90.00 90.00 120.00
Space group R-3m (No. 166, hexagonal axes)
Symmetry-distinct sites (fractional):
Li (0.0000, 0.0000, 0.0000) [3 per cell]
Ac (0.0000, 0.0000, 0.2561) [6 per cell]
La (0.0000, 0.0000, 0.5000) [3 per cell]
Tl (0.0000, 0.0000, 0.1254) [6 per cell]
Tl (0.0000, 0.0000, 0.3726) [6 per cell]

Most intense lines, 5° ≤ 2θ ≤ 70°, in order of rising 2θ:
index  Position (°2θ)  I_rel
0 1 2  19.4  16
1 0 4  22.2  6
0 1 5  24.1  6
0 1 8  31.1  100
1 1 0  32.2  94
1 1 6  37.4  5
2 0 8  45.3  36
1 0 16  54.5  19
1 2 8  56.7  37
3 0 0  57.4  19
0 2 16  64.7  11
2 2 0  67.4  12

---

Record 4
This entry pairs a crystal structure of Sc4Ru with its theoretical powder diffraction line list. Radiation: Cu Kα. Structure: a cell relaxed with GGA-PBE.

Structure:
a b c (Å): 11.836 11.836 6.447
angles (deg): 90.00 90.00 90.00
Space group Fdd2 (No. 43)
Symmetry-distinct sites (fractional):
Sc (0.081, 0.370, 0.000) [16 per cell]
Sc (0.121, 0.331, 0.458) [16 per cell]
Ru (0.000, 0.000, 0.853) [8 per cell]

Most intense lines, 5° ≤ 2θ ≤ 70°, in order of rising 2θ:
index  Position (°2θ)  I_rel
1 1 1  17.4  55
2 2 0  21.2  43
3 1 1  27.6  22
0 2 2  31.6  36
4 2 0  33.9  21
2 2 2  35.1  100
5 1 1  41.3  43
4 4 0  43.2  22
1 1 3  43.5  21
2 4 2  44.3  38
1 7 1  56.8  20
4 0 4  66.0  16